Record 1
Calculated PXRD pattern of LiMnVP3O12 for Cu Kα, 1.54184 Å, from a PBE+U-relaxed structure.
Lines closer than 0.1° are merged.

```
LiMnVP3O12
1.0
8.457 0.000 0.000
4.189 7.474 0.000
4.120 -2.208 7.246
Li Mn V P O
2 2 2 6 24
Direct
0.000 0.000 0.000
0.077 0.340 0.867
0.318 0.024 0.504
0.759 0.318 0.363
0.321 0.527 0.008
0.756 0.814 0.858
0.241 0.718 0.690
0.261 0.907 0.187
0.525 0.153 0.688
0.552 0.188 0.179
0.816 0.434 0.679
0.836 0.624 0.177
0.038 0.603 0.168
0.040 0.739 0.699
0.085 0.046 0.159
0.208 0.913 0.697
0.209 0.703 0.883
0.209 0.956 0.383
0.296 0.709 0.149
0.351 0.340 0.847
0.383 0.106 0.665
0.385 0.177 0.349
0.423 0.346 0.114
0.442 0.556 0.528
0.477 0.886 0.044
0.600 0.456 0.822
0.635 0.785 0.338
0.654 0.995 0.752
0.692 0.164 0.517
0.695 0.235 0.201
0.726 0.001 0.019
0.782 0.632 0.718
0.868 0.385 0.484
0.868 0.638 0.983
0.869 0.428 0.170
0.992 0.295 0.707
```

Most intense lines, 2θ from 10° to 80°, by angle:
2θ (°)	I (rel.)
14.52	48
20.38	59
20.65	74
23.61	54
24.41	47
24.54	100

=====

Record 2
Calculated PXRD pattern of Ba4Pa3FeO12 for Cu Kα, 1.54184 Å, from a PBE+U-relaxed structure.
Lines closer than 0.1° are merged.

```
Ba4Pa3FeO12
1.0
-4.410 4.410 4.410
4.410 -4.410 4.410
4.410 4.410 -4.410
Ba Pa Fe O
4 3 1 12
Direct
0.000 0.000 0.500
0.000 0.500 0.000
0.500 0.000 0.000
0.500 0.500 0.500
0.000 0.500 0.500
0.500 0.000 0.500
0.500 0.500 0.000
0.000 0.000 0.000
0.000 0.255 0.255
0.000 0.745 0.745
0.250 0.500 0.750
0.250 0.750 0.500
0.255 0.000 0.255
0.255 0.255 0.000
0.500 0.250 0.750
0.500 0.750 0.250
0.745 0.000 0.745
0.745 0.745 0.000
0.750 0.250 0.500
0.750 0.500 0.250
```

Most intense lines, 2θ from 10° to 80°, by angle:
2θ (°)	I (rel.)
14.20	10
28.62	100
40.93	29
50.70	42
59.26	19
67.11	19